1.
# V4Si4O13
Calculated powder X-ray diffraction pattern, copper Kα. Input: a crystal structure in the Materials Project, relaxed with PBE+U.

Structural model:
Cell lengths 6.9611, 7.8298, 10.1154 Å; angles 67.73, 79.87, 77.61 degrees
Space group P-1 (No. 2)
One atom of each set of equivalent atoms:
V  0.0758  0.1963  0.4875 x2
V  0.0766  0.5558  0.1257 x2
V  0.4196  0.8015  0.5079 x2
V  0.4227  0.4489  0.8781 x2
Si  0.1218  0.8471  0.7886 x2
Si  0.2283  0.8548  0.2174 x2
Si  0.2343  0.4107  0.6742 x2
Si  0.4325  0.1569  0.2091 x2
O  0.0052  0.5314  0.6602 x2
O  0.0186  0.9854  0.1681 x2
O  0.0841  0.6344  0.8970 x2
O  0.1285  0.8905  0.6152 x2
O  0.2141  0.3021  0.8500 x2
O  0.2190  0.7692  0.3926 x2
O  0.2769  0.6997  0.1399 x2
O  0.3063  0.2749  0.5784 x2
O  0.3339  0.8551  0.8228 x2
O  0.3505  0.3748  0.1118 x2
O  0.3775  0.1032  0.3853 x2
O  0.3866  0.0008  0.1560 x2
O  0.3980  0.5511  0.6508 x2

Peak list (10 most intense, 2θ from 10° to 90°, low angle first)
(0 1 1), 2θ = 12.65°, d 6.995, I 67
(0 1 -1), 2θ = 18.13°, d 4.893, I 34
(0 2 2), 2θ = 25.47°, d 3.498, I 28
(0 0 3), 2θ = 28.77°, d 3.103, I 82
(0 2 -1), 2θ = 29.78°, d 3.000, I 76
(-2 1 1), 2θ = 32.02°, d 2.795, I 100
(2 2 2), 2θ = 32.16°, d 2.783, I 96
(0 1 4), 2θ = 36.10°, d 2.488, I 30
(0 3 0), 2θ = 37.74°, d 2.383, I 26
(4 1 1), 2θ = 52.59°, d 1.740, I 46

***

2.
# V2Si2O7
Calculated powder X-ray diffraction pattern, copper Kα. Input: a crystal structure in the Materials Project, relaxed with PBE+U.

Structural model:
Cell lengths 4.6863, 5.2115, 5.3844 Å; angles 106.26, 96.24, 97.84 degrees
Space group P-1 (No. 2)
One atom of each set of equivalent atoms:
V  0.0084  0.1789  0.3094 x2
Si  0.4052  0.7288  0.2294 x2
O  0.2106  0.9053  0.0855 x2
O  0.2121  0.5709  0.3970 x2
O  0.2746  0.0974  0.6072 x2
O  0.5000  0.5000  0.0000 x1

Peak list (10 most intense, 2θ from 10° to 90°, low angle first)
(0 1 0), 2θ = 18.01°, d 4.926, I 30
(1 0 0), 2θ = 19.35°, d 4.587, I 26
(1 0 1), 2θ = 28.08°, d 3.177, I 58
(1 -1 1), 2θ = 28.36°, d 3.147, I 100
(1 1 0), 2θ = 28.82°, d 3.098, I 49
(1 1 -1), 2θ = 29.01°, d 3.078, I 100
(-1 1 1), 2θ = 31.27°, d 2.861, I 95
(1 -1 2), 2θ = 40.90°, d 2.206, I 27
(2 -1 2), 2θ = 55.01°, d 1.669, I 29
(2 2 -1), 2θ = 56.85°, d 1.619, I 31